FeRhO3: simulated powder XRD pattern (copper Kα), based on a cell relaxed with GGA+U.
No peak broadening, texture or thermal motion is included.

Structure:
abc: 3.7701 3.7701 3.7701
angles: 90.00 90.00 90.00
Sites, in units of the cell vectors:
1 Fe 0.0000 0.0000 0.0000
2 Rh 0.5000 0.5000 0.5000
3 O 0.0000 0.0000 0.5000
4 O 0.0000 0.5000 0.0000
5 O 0.5000 0.0000 0.0000

The 10 most intense peaks (2θ from 10° to 90°), in order of falling intensity:
- d 2.666, 33.62°, rel. 1000
- d 1.539, 60.12°, rel. 366
- d 1.885, 48.28°, rel. 350
- d 1.333, 70.67°, rel. 198
- d 1.192, 80.58°, rel. 155
- d 2.177, 41.49°, rel. 150
- d 3.770, 23.60°, rel. 45
- d 1.137, 85.41°, rel. 44
- d 1.686, 54.42°, rel. 27
- d 1.257, 75.68°, rel. 15